Record 1
For Mg6TiCr, a crystal structure in the Materials Project, relaxed with GGA-PBE gives the simulated XRD peak list in this record (Cu Kα (weighted mean of Kα1 and Kα2)).
Neutral-atom scattering factors, no anomalous dispersion.

Atomic structure:
Cell lengths 4.9197, 6.2504, 6.2504 Å; angles 59.53, 90.00, 90.00 degrees
Sites, in units of the cell vectors:
Mg 0.0000 0.0000 0.0000
Mg 0.0000 0.5070 0.9899
Mg 0.0000 0.9899 0.5070
Mg 0.5000 0.1689 0.1689
Mg 0.5000 0.1741 0.6581
Mg 0.5000 0.6581 0.1741
Ti 0.5000 0.6544 0.6544
Cr 0.0000 0.5132 0.5132

Peak list (8 most intense, 2θ = 5–70°, sorted by position)
two_theta, I (rel.)
16.45, 25
33.26, 32
36.53, 41
37.87, 60
38.09, 100
50.23, 18
59.12, 17
66.78, 17

=====

Record 2
For Mg6TiCr, a crystal structure in the Materials Project, relaxed with GGA-PBE gives the simulated XRD peak list in this record (Cu Kα (weighted mean of Kα1 and Kα2)).
Neutral-atom scattering factors, no anomalous dispersion.

Atomic structure:
Cell lengths 4.9826, 6.2240, 6.2240 Å; angles 59.70, 90.00, 90.00 degrees
Sites, in units of the cell vectors:
Mg 0.0000 0.0000 0.0000
Mg 0.0000 0.0084 0.5083
Mg 0.0000 0.5000 0.5000
Mg 0.0000 0.5083 0.0084
Mg 0.5000 0.3363 0.8396
Mg 0.5000 0.8396 0.3363
Ti 0.5000 0.8373 0.8373
Cr 0.5000 0.3367 0.3367

Peak list (8 most intense, 2θ = 5–70°, sorted by position)
two_theta, I (rel.)
16.42, 14
33.35, 27
36.05, 39
37.91, 50
38.05, 100
49.92, 16
59.40, 16
66.11, 26

=====

Record 3
For YMg6Cr, a crystal structure in the Materials Project, relaxed with GGA-PBE gives the simulated XRD peak list in this record (Cu Kα (weighted mean of Kα1 and Kα2)).
Neutral-atom scattering factors, no anomalous dispersion.

Atomic structure:
Cell lengths 5.1392, 6.4969, 6.4969 Å; angles 59.25, 90.00, 90.00 degrees
Sites, in units of the cell vectors:
Y 0.0000 0.0000 0.0000
Mg 0.0000 0.0065 0.4962
Mg 0.0000 0.4962 0.0065
Mg 0.5000 0.1691 0.1691
Mg 0.5000 0.1784 0.6563
Mg 0.5000 0.6563 0.1784
Mg 0.5000 0.6614 0.6614
Cr 0.0000 0.4977 0.4977

Peak list (8 most intense, 2θ = 5–70°, sorted by position)
two_theta, I (rel.)
15.69, 27
17.25, 21
23.40, 20
32.06, 30
34.92, 37
36.30, 51
36.63, 100
68.33, 19

=====

Record 4
For YMg6Cr, a crystal structure in the Materials Project, relaxed with GGA-PBE gives the simulated XRD peak list in this record (Cu Kα (weighted mean of Kα1 and Kα2)).
Neutral-atom scattering factors, no anomalous dispersion.

Atomic structure:
Cell lengths 5.0827, 6.5145, 6.5145 Å; angles 59.90, 90.00, 90.00 degrees
Sites, in units of the cell vectors:
Y 0.0000 0.0000 0.0000
Mg 0.0000 0.5117 0.5117
Mg 0.0000 0.5147 0.9947
Mg 0.0000 0.9947 0.5147
Mg 0.5000 0.3409 0.3409
Mg 0.5000 0.3508 0.8405
Mg 0.5000 0.8405 0.3508
Cr 0.5000 0.8394 0.8394

Peak list (8 most intense, 2θ = 5–70°, sorted by position)
two_theta, I (rel.)
15.72, 35
23.56, 21
31.74, 26
35.32, 24
36.44, 100
56.54, 17
64.13, 18
68.45, 19